SnCNCl3: computed X-ray powder pattern (Cu Kα (λ = 1.5418 Å)), based on a GGA-PBE-relaxed structure.
Lines closer than 0.1° are merged.

Top 8 peaks for 10° ≤ 2θ ≤ 90°, by angle:
index  2θ/deg  d (Å)  intensity
0 1 1  14.71  6.023  100.0
1 0 0  16.50  5.374  64.5
0 0 2  21.10  4.210  26.5
1 1 -1  21.35  4.161  25.9
0 2 1  23.19  3.836  31.5
0 2 2  29.67  3.011  47.0
2 0 0  33.35  2.687  25.0
0 1 3  33.58  2.669  22.2

Structural model:
```
data_SnCNCl3
_chemical_formula_sum 'Sn2 C2 N2 Cl6'
_space_group_name_H-M_alt 'P 1 c 1'
_space_group_IT_number 7
_space_group_name_Hall 'P -2yc'
_cell_length_a 5.401
_cell_length_b 8.618
_cell_length_c 8.464
_cell_angle_alpha 90.00
_cell_angle_beta 95.79
_cell_angle_gamma 90.00
loop_
_atom_site_label
_atom_site_type_symbol
_atom_site_fract_x
_atom_site_fract_y
_atom_site_fract_z
_atom_site_occupancy
Sn1 Sn 0.000 0.187 0.000 1
C1 C 0.737 0.332 0.572 1
N1 N 0.571 0.263 0.505 1
Cl1 Cl 0.000 0.011 0.259 1
Cl2 Cl 0.544 0.272 0.978 1
Cl3 Cl 0.972 0.424 0.664 1
```



SnCNCl3: computed X-ray powder pattern (Cu Kα (λ = 1.5418 Å)), based on a GGA-PBE-relaxed structure.
Lines closer than 0.1° are merged.

Top 8 peaks for 10° ≤ 2θ ≤ 90°, by angle:
index  2θ/deg  d (Å)  intensity
1 0 0  13.80  6.419  85.8
0 1 -1  17.31  5.124  100.0
-1 1 1  21.78  4.081  27.8
1 -1 1  21.94  4.051  25.8
0 0 2  24.35  3.656  18.4
2 0 0  27.80  3.210  41.5
0 2 -2  35.02  2.562  50.0
1 -3 1  41.56  2.173  18.2

Structural model:
```
data_SnCNCl3
_chemical_formula_sum 'Sn2 C2 N2 Cl6'
_space_group_name_H-M_alt 'P 1'
_space_group_IT_number 1
_space_group_name_Hall 'P 1'
_cell_length_a 6.426
_cell_length_b 7.190
_cell_length_c 7.312
_cell_angle_alpha 90.05
_cell_angle_beta 90.66
_cell_angle_gamma 92.46
loop_
_atom_site_label
_atom_site_type_symbol
_atom_site_fract_x
_atom_site_fract_y
_atom_site_fract_z
_atom_site_occupancy
Sn1 Sn 0.000 0.000 0.000 1
Sn2 Sn 0.113 0.509 0.500 1
C1 C 0.475 0.400 0.016 1
C2 C 0.581 0.974 0.563 1
N1 N 0.416 0.033 0.532 1
N2 N 0.478 0.562 0.013 1
Cl1 Cl 0.010 0.742 0.746 1
Cl2 Cl 0.017 0.789 0.289 1
Cl3 Cl 0.474 0.174 0.019 1
Cl4 Cl 0.478 0.506 0.492 1
Cl5 Cl 0.970 0.310 0.242 1
Cl6 Cl 0.976 0.265 0.712 1
```



TmC8N4Cl7: computed X-ray powder pattern (Cu Kα (λ = 1.5418 Å)), based on a GGA-PBE-relaxed structure.
Lines closer than 0.1° are merged.

Top 8 peaks for 10° ≤ 2θ ≤ 90°, by angle:
index  2θ/deg  d (Å)  intensity
1 1 0  11.20  7.897  100.0
0 2 0  12.00  7.377  88.7
0 1 1  12.11  7.306  97.3
1 0 1  14.16  6.253  59.5
1 2 1  18.60  4.770  87.4
2 2 0  22.55  3.942  42.5
1 1 2  23.98  3.712  36.9
2 2 2  31.09  2.877  44.0

Structural model:
```
data_TmC8N4Cl7
_chemical_formula_sum 'Tm2 C16 N8 Cl14'
_space_group_name_H-M_alt 'P 21 21 2'
_space_group_IT_number 18
_space_group_name_Hall 'P 2 2ab'
_cell_length_a 9.349
_cell_length_b 14.754
_cell_length_c 8.410
_cell_angle_alpha 90.00
_cell_angle_beta 90.00
_cell_angle_gamma 90.00
loop_
_atom_site_label
_atom_site_type_symbol
_atom_site_fract_x
_atom_site_fract_y
_atom_site_fract_z
_atom_site_occupancy
Tm1 Tm 0.000 0.000 0.209 1
C1 C 0.069 0.676 0.853 1
C2 C 0.185 0.642 0.116 1
C3 C 0.193 0.455 0.447 1
C4 C 0.224 0.334 0.650 1
N1 N 0.139 0.655 0.968 1
N2 N 0.199 0.401 0.564 1
Cl1 Cl 0.000 0.500 0.402 1
Cl2 Cl 0.134 0.099 0.386 1
Cl3 Cl 0.139 0.105 0.884 1
Cl4 Cl 0.199 0.895 0.110 1
```



Copy entry 3 word for word.
TmC8N4Cl7: computed X-ray powder pattern (Cu Kα (λ = 1.5418 Å)), based on a GGA-PBE-relaxed structure.
Lines closer than 0.1° are merged.

Top 8 peaks for 10° ≤ 2θ ≤ 90°, by angle:
index  2θ/deg  d (Å)  intensity
1 1 0  11.20  7.897  100.0
0 2 0  12.00  7.377  88.7
0 1 1  12.11  7.306  97.3
1 0 1  14.16  6.253  59.5
1 2 1  18.60  4.770  87.4
2 2 0  22.55  3.942  42.5
1 1 2  23.98  3.712  36.9
2 2 2  31.09  2.877  44.0

Structural model:
```
data_TmC8N4Cl7
_chemical_formula_sum 'Tm2 C16 N8 Cl14'
_space_group_name_H-M_alt 'P 21 21 2'
_space_group_IT_number 18
_space_group_name_Hall 'P 2 2ab'
_cell_length_a 9.349
_cell_length_b 14.754
_cell_length_c 8.410
_cell_angle_alpha 90.00
_cell_angle_beta 90.00
_cell_angle_gamma 90.00
loop_
_atom_site_label
_atom_site_type_symbol
_atom_site_fract_x
_atom_site_fract_y
_atom_site_fract_z
_atom_site_occupancy
Tm1 Tm 0.000 0.000 0.209 1
C1 C 0.069 0.676 0.853 1
C2 C 0.185 0.642 0.116 1
C3 C 0.193 0.455 0.447 1
C4 C 0.224 0.334 0.650 1
N1 N 0.139 0.655 0.968 1
N2 N 0.199 0.401 0.564 1
Cl1 Cl 0.000 0.500 0.402 1
Cl2 Cl 0.134 0.099 0.386 1
Cl3 Cl 0.139 0.105 0.884 1
Cl4 Cl 0.199 0.895 0.110 1
```